No. 1
The following is a simulated powder XRD pattern of KLiGeTe2. It was derived from a crystal structure in Alexandria, relaxed with GGA-PBE, using Cu Kα, 1.54184 Å.
Kinematic intensities with the Lorentz-polarization factor, no thermal factor.

Main lines, in order of rising 2θ (15 to 90 degrees two-theta):
- 21.11°, intensity 40, hkl 1 1 1
- 24.54°, intensity 17, hkl 0 0 2
- 25.05°, intensity 14, hkl 0 4 1
- 26.21°, intensity 100, hkl 1 3 1
- 32.88°, intensity 31, hkl 2 0 0
- 33.05°, intensity 31, hkl 0 4 2
- 34.35°, intensity 19, hkl 1 5 1
- 41.48°, intensity 20, hkl 0 6 2
- 44.08°, intensity 15, hkl 1 7 1
- 44.23°, intensity 17, hkl 1 3 3
- 47.31°, intensity 22, hkl 2 4 2
- 66.61°, intensity 14, hkl 1 11 1

Structural model:
Cell lengths 5.4474, 16.3087, 7.2561 Å; angles 90.00, 90.00, 90.00 degrees
Space group Cmme (No. 67)
One atom of each set of equivalent atoms:
K: 0.0000 0.2500 0.2461 [4 per cell]
Li: 0.2500 0.0000 0.5000 [4 per cell]
Ge: 0.0000 0.0000 0.0000 [4 per cell]
Te: 0.0000 0.1150 0.7157 [8 per cell]



No. 2
The following is a simulated powder XRD pattern of Tb7CeSm12. It was derived from a crystal structure in Alexandria, relaxed with GGA-PBE, using Cu Kα, 1.54184 Å.
Kinematic intensities with the Lorentz-polarization factor, no thermal factor.

Main lines, in order of rising 2θ (15 to 90 degrees two-theta):
- 29.04°, intensity 54, hkl 1 0 4
- 31.08°, intensity 69, hkl 3 1 2
- 31.23°, intensity 73, hkl 0 3 3
- 31.58°, intensity 100, hkl 4 0 1
- 33.90°, intensity 39, hkl 0 4 2
- 34.04°, intensity 15, hkl 2 2 3
- 34.35°, intensity 19, hkl 3 2 1
- 48.88°, intensity 25, hkl 3 0 6
- 54.70°, intensity 23, hkl 4 4 0
- 56.11°, intensity 30, hkl 4 3 4
- 57.33°, intensity 20, hkl 0 7 2
- 83.30°, intensity 20, hkl 4 7 3

Structural model:
Cell lengths 13.4231, 13.4231, 12.7520 Å; angles 90.00, 90.00, 120.00 degrees
Space group R-3m (No. 166, hexagonal axes)
One atom of each set of equivalent atoms:
Tb: 0.0000 0.0000 0.0000 [3 per cell]
Tb: 0.0443 0.5221 0.1178 [18 per cell]
Ce: 0.0000 0.0000 0.5000 [3 per cell]
Sm: 0.0000 0.2610 0.0000 [18 per cell]
Sm: 0.0890 0.1780 0.7662 [18 per cell]



No. 3
The following is a simulated powder XRD pattern of TbSmBeN2. It was derived from a crystal structure in Alexandria, relaxed with GGA-PBE, using Cu Kα, 1.54184 Å.
Kinematic intensities with the Lorentz-polarization factor, no thermal factor.

Main lines, in order of rising 2θ (15 to 90 degrees two-theta):
- 24.84°, intensity 100, hkl 1 1 0
- 27.12°, intensity 33, hkl 0 0 2
- 35.01°, intensity 19, hkl 0 2 0
- 35.83°, intensity 18, hkl 2 0 0
- 37.10°, intensity 78, hkl 1 1 2
- 44.83°, intensity 24, hkl 0 2 2
- 45.50°, intensity 23, hkl 2 0 2
- 50.96°, intensity 18, hkl 2 2 0
- 58.67°, intensity 17, hkl 2 2 2
- 62.11°, intensity 16, hkl 1 1 4
- 64.17°, intensity 15, hkl 1 3 2
- 65.22°, intensity 15, hkl 3 1 2

Structural model:
Cell lengths 5.0128, 5.1260, 6.5771 Å; angles 90.00, 90.00, 90.00 degrees
Space group Pccm (No. 49)
One atom of each set of equivalent atoms:
Tb: 0.0000 0.0000 0.2500 [2 per cell]
Sm: 0.5000 0.5000 0.2500 [2 per cell]
Be: 0.5000 0.0000 0.0000 [2 per cell]
N: 0.2725 0.2142 0.0000 [4 per cell]



No. 4
The following is a simulated powder XRD pattern of PH2Pd5. It was derived from a crystal structure in Alexandria, relaxed with GGA-PBE, using Cu Kα, 1.54184 Å.
Kinematic intensities with the Lorentz-polarization factor, no thermal factor.

Main lines, in order of rising 2θ (15 to 90 degrees two-theta):
- 28.72°, intensity 18, hkl 1 1 0
- 33.79°, intensity 43, hkl 1 0 1
- 36.43°, intensity 26, hkl 1 2 1
- 38.48°, intensity 100, hkl 0 1 2
- 39.50°, intensity 90, hkl 1 3 1
- 43.07°, intensity 19, hkl 0 3 2
- 43.51°, intensity 46, hkl 1 4 1
- 44.08°, intensity 18, hkl 1 5 0
- 49.68°, intensity 27, hkl 1 2 2
- 57.71°, intensity 21, hkl 2 0 0
- 71.51°, intensity 31, hkl 2 1 2
- 75.49°, intensity 28, hkl 1 8 2

Structural model:
Cell lengths 3.1949, 13.4119, 4.7580 Å; angles 90.00, 90.00, 90.00 degrees
Space group Pmmn (No. 59, origin choice 2)
One atom of each set of equivalent atoms:
P: 0.2500 0.2500 0.0249 [2 per cell]
H: 0.2500 0.5581 0.4674 [4 per cell]
Pd: 0.2500 0.0751 0.3525 [4 per cell]
Pd: 0.2500 0.6306 0.1268 [4 per cell]
Pd: 0.2500 0.7500 0.6157 [2 per cell]



No. 5
The following is a simulated powder XRD pattern of Sm3SbO. It was derived from a crystal structure in Alexandria, relaxed with GGA-PBE, using Cu Kα, 1.54184 Å.
Kinematic intensities with the Lorentz-polarization factor, no thermal factor.

Main lines, in order of rising 2θ (15 to 90 degrees two-theta):
- 28.57°, intensity 35, hkl 2 0 -2
- 29.13°, intensity 54, hkl 1 1 -3
- 29.47°, intensity 27, hkl 2 1 -1
- 30.31°, intensity 31, hkl 1 2 0
- 31.82°, intensity 100, hkl 1 2 1
- 32.11°, intensity 33, hkl 0 0 4
- 32.35°, intensity 63, hkl 2 0 2
- 35.01°, intensity 25, hkl 0 1 4
- 35.25°, intensity 34, hkl 1 2 2
- 37.84°, intensity 22, hkl 1 2 -3
- 41.45°, intensity 20, hkl 3 1 -1
- 57.04°, intensity 24, hkl 0 4 1

Structural model:
Cell lengths 6.9508, 6.5253, 11.2524 Å; angles 90.00, 97.75, 90.00 degrees
Space group P2_1/c (No. 14)
One atom of each set of equivalent atoms:
Sm: 0.0667 0.0655 0.1501 [4 per cell]
Sm: 0.2077 0.5603 0.0786 [4 per cell]
Sm: 0.3709 0.1776 0.8927 [4 per cell]
Sb: 0.3732 0.6914 0.8351 [4 per cell]
O: 0.0769 0.2418 0.9718 [4 per cell]



No. 6
The following is a simulated powder XRD pattern of CaCu3Bi4O12. It was derived from a crystal structure in Alexandria, relaxed with GGA-PBE, using Cu Kα, 1.54184 Å.
Kinematic intensities with the Lorentz-polarization factor, no thermal factor.

Main lines, in order of rising 2θ (15 to 90 degrees two-theta):
- 21.66°, intensity 36, hkl 2 0 0
- 30.82°, intensity 100, hkl 2 2 0
- 37.99°, intensity 10, hkl 2 2 2
- 44.15°, intensity 21, hkl 4 0 0
- 49.69°, intensity 20, hkl 4 0 2
- 54.81°, intensity 48, hkl 4 2 2
- 64.21°, intensity 13, hkl 4 4 0
- 68.63°, intensity 8, hkl 4 4 2
- 72.92°, intensity 19, hkl 6 2 0
- 77.11°, intensity 6, hkl 6 2 2
- 81.23°, intensity 5, hkl 4 4 4
- 89.35°, intensity 23, hkl 6 4 2

Structural model:
Cell lengths 8.2051, 8.2051, 8.2051 Å; angles 90.00, 90.00, 90.00 degrees
Space group Im-3 (No. 204)
One atom of each set of equivalent atoms:
Ca: 0.0000 0.0000 0.0000 [2 per cell]
Cu: 0.0000 0.0000 0.5000 [6 per cell]
Bi: 0.2500 0.2500 0.2500 [8 per cell]
O: 0.0000 0.1543 0.3205 [24 per cell]



No. 7
The following is a simulated powder XRD pattern of Cu2GeP2H10O14. It was derived from a crystal structure in Alexandria, relaxed with GGA-PBE, using Cu Kα, 1.54184 Å.
Kinematic intensities with the Lorentz-polarization factor, no thermal factor.

Main lines, in order of rising 2θ (15 to 90 degrees two-theta):
- 17.47°, intensity 28, hkl 0 1 2
- 18.54°, intensity 36, hkl 1 0 0
- 18.80°, intensity 21, hkl 1 0 -2
- 20.49°, intensity 27, hkl 0 2 0
- 23.65°, intensity 24, hkl 0 1 3
- 27.78°, intensity 100, hkl 1 0 -4
- 29.71°, intensity 13, hkl 0 2 3
- 30.36°, intensity 31, hkl 1 2 1
- 34.81°, intensity 25, hkl 1 1 3
- 35.36°, intensity 15, hkl 0 2 4
- 42.33°, intensity 15, hkl 0 4 1
- 46.15°, intensity 15, hkl 2 0 -6

Structural model:
Cell lengths 5.1365, 8.6671, 13.4480 Å; angles 90.00, 111.32, 90.00 degrees
Space group P2_1/c (No. 14)
One atom of each set of equivalent atoms:
Cu: 0.0310 0.0542 0.2652 [4 per cell]
Ge: 0.0000 0.0000 0.0000 [2 per cell]
P: 0.3977 0.1715 0.9004 [4 per cell]
H: 0.0087 0.1439 0.4353 [4 per cell]
H: 0.2617 0.7316 0.8898 [4 per cell]
H: 0.2975 0.5901 0.1315 [4 per cell]
H: 0.3586 0.0383 0.1681 [4 per cell]
H: 0.4567 0.6986 0.8268 [4 per cell]
O: 0.0966 0.5598 0.1122 [4 per cell]
O: 0.1560 0.0672 0.1423 [4 per cell]
O: 0.1930 0.1688 0.9627 [4 per cell]
O: 0.2627 0.6904 0.8216 [4 per cell]
O: 0.2990 0.6473 0.5164 [4 per cell]
O: 0.3328 0.0428 0.8158 [4 per cell]
O: 0.3836 0.1648 0.3531 [4 per cell]



No. 8
The following is a simulated powder XRD pattern of Tm4Br. It was derived from a crystal structure in Alexandria, relaxed with GGA-PBE, using Cu Kα, 1.54184 Å.
Kinematic intensities with the Lorentz-polarization factor, no thermal factor.

Main lines, in order of rising 2θ (15 to 90 degrees two-theta):
- 16.60°, intensity 6, hkl 1 0 0
- 23.56°, intensity 5, hkl 1 1 0
- 28.95°, intensity 100, hkl 1 1 1
- 33.56°, intensity 84, hkl 2 0 0
- 37.66°, intensity 3, hkl 2 1 0
- 48.19°, intensity 61, hkl 2 2 0
- 57.20°, intensity 45, hkl 3 1 1
- 60.00°, intensity 21, hkl 2 2 2
- 70.53°, intensity 10, hkl 4 0 0
- 77.97°, intensity 18, hkl 3 3 1
- 80.40°, intensity 28, hkl 4 2 0
- 90.00°, intensity 22, hkl 4 2 2

Structural model:
Cell lengths 5.3412, 5.3412, 5.3412 Å; angles 90.00, 90.00, 90.00 degrees
Space group Pm-3m (No. 221)
One atom of each set of equivalent atoms:
Tm: 0.0000 0.0000 0.0000 [1 per cell]
Tm: 0.0000 0.5000 0.5000 [3 per cell]
Br: 0.5000 0.5000 0.5000 [1 per cell]